[1]
This entry pairs a crystal structure of ScZn11 with its computed powder X-ray diffraction pattern. Radiation: λ = 1.5418 Å (Cu Kα). Structure: DFT lattice parameters and positions (PBE).
Intensities are scaled so that the largest is 100.

Principal peaks in the range 2θ from 5° to 70°, low angle first:
- 2.675 Å, 2θ 33.5, intensity 21
- 2.372 Å, 2θ 37.9, intensity 70
- 2.347 Å, 2θ 38.4, intensity 52
- 2.210 Å, 2θ 40.8, intensity 24
- 2.036 Å, 2θ 44.5, intensity 36
- 2.005 Å, 2θ 45.2, intensity 100
- 1.930 Å, 2θ 47.1, intensity 33
- 1.360 Å, 2θ 69.1, intensity 22

Atomic structure:
a b c (Å): 8.1597 8.1597 8.1597
angles (deg): 99.94 99.94 130.90
Fractional coordinates of all 24 atoms:
Sc 0.3750 0.6250 0.7500
Sc 0.6250 0.3750 0.2500
Zn 0.0000 0.0000 0.0000
Zn 0.0000 0.0000 0.5000
Zn 0.0000 0.5000 0.0000
Zn 0.1250 0.8750 0.2500
Zn 0.1270 0.5526 0.3330
Zn 0.1270 0.7940 0.5745
Zn 0.2060 0.2804 0.3330
Zn 0.2060 0.8730 0.9255
Zn 0.2804 0.2060 0.8330
Zn 0.2804 0.4474 0.0745
Zn 0.4474 0.2804 0.5745
Zn 0.4474 0.8730 0.1670
Zn 0.5000 0.0000 0.5000
Zn 0.5526 0.1270 0.8330
Zn 0.5526 0.7196 0.4255
Zn 0.7196 0.5526 0.9255
Zn 0.7196 0.7940 0.1670
Zn 0.7940 0.1270 0.0745
Zn 0.7940 0.7196 0.6670
Zn 0.8730 0.2060 0.4255
Zn 0.8730 0.4474 0.6670
Zn 0.8750 0.1250 0.7500

[2]
This entry pairs a crystal structure of Na3Sm2ThSe6 with its computed powder X-ray diffraction pattern. Radiation: λ = 1.5418 Å (Cu Kα). Structure: DFT lattice parameters and positions (PBE).
Intensities are scaled so that the largest is 100.

Principal peaks in the range 2θ from 5° to 70°, low angle first:
- 7.066 Å, 2θ 12.5, intensity 50
- 3.593 Å, 2θ 24.8, intensity 26
- 3.003 Å, 2θ 29.7, intensity 100
- 2.329 Å, 2θ 38.7, intensity 12
- 2.143 Å, 2θ 42.2, intensity 38
- 2.105 Å, 2θ 43.0, intensity 37
- 2.017 Å, 2θ 44.9, intensity 13
- 1.722 Å, 2θ 53.2, intensity 13

Atomic structure:
a b c (Å): 9.5460 9.5460 8.5871
angles (deg): 104.36 104.36 25.45
Fractional coordinates of all 12 atoms:
Na 0.0000 0.0000 0.0000
Na 0.3316 0.3316 0.6681
Na 0.6684 0.6684 0.3319
Sm 0.3313 0.3313 0.1618
Sm 0.6687 0.6687 0.8382
Th 0.0000 0.0000 0.5000
Se 0.1627 0.1627 0.5898
Se 0.1689 0.1689 0.0770
Se 0.4975 0.4975 0.2559
Se 0.5025 0.5025 0.7441
Se 0.8311 0.8311 0.9230
Se 0.8373 0.8373 0.4102

[3]
This entry pairs a crystal structure of Fe4Co12Si with its computed powder X-ray diffraction pattern. Radiation: λ = 1.5418 Å (Cu Kα). Structure: DFT lattice parameters and positions (PBE).
Intensities are scaled so that the largest is 100.

Principal peaks in the range 2θ from 5° to 70°, low angle first:
- 2.061 Å, 2θ 43.9, intensity 20
- 2.008 Å, 2θ 45.2, intensity 61
- 1.986 Å, 2θ 45.7, intensity 62
- 1.976 Å, 2θ 45.9, intensity 58
- 1.963 Å, 2θ 46.3, intensity 19
- 1.956 Å, 2θ 46.4, intensity 45
- 1.935 Å, 2θ 47.0, intensity 24
- 1.915 Å, 2θ 47.5, intensity 100

Atomic structure:
a b c (Å): 4.6092 6.2329 7.0351
angles (deg): 104.33 97.15 97.02
Fractional coordinates of all 17 atoms:
Fe 0.0000 0.0000 0.0000
Fe 0.1343 0.5424 0.4917
Fe 0.5131 0.9853 0.5224
Fe 0.6815 0.6439 0.0052
Co 0.0331 0.9347 0.6330
Co 0.0436 0.1338 0.3787
Co 0.1294 0.7360 0.2380
Co 0.1921 0.6716 0.8669
Co 0.2971 0.3702 0.0724
Co 0.3578 0.3208 0.7192
Co 0.5036 0.0260 0.8630
Co 0.5136 0.9908 0.1816
Co 0.6489 0.6662 0.3415
Co 0.6673 0.6634 0.6840
Co 0.8103 0.3372 0.1432
Co 0.8719 0.3066 0.7798
Si 0.5824 0.3292 0.4288

[4]
This entry pairs a crystal structure of Cs8Rb3Hg with its computed powder X-ray diffraction pattern. Radiation: λ = 1.5418 Å (Cu Kα). Structure: DFT lattice parameters and positions (PBE).
Intensities are scaled so that the largest is 100.

Principal peaks in the range 2θ from 5° to 70°, low angle first:
- 13.880 Å, 2θ 6.4, intensity 23
- 4.360 Å, 2θ 20.4, intensity 32
- 4.227 Å, 2θ 21.0, intensity 39
- 4.160 Å, 2θ 21.4, intensity 86
- 4.007 Å, 2θ 22.2, intensity 100
- 3.456 Å, 2θ 25.8, intensity 26
- 2.888 Å, 2θ 31.0, intensity 26
- 2.343 Å, 2θ 38.4, intensity 37

Atomic structure:
a b c (Å): 16.0267 16.0267 10.3944
angles (deg): 90.00 90.00 120.00
Fractional coordinates of all 24 atoms:
Cs 0.0000 0.0000 0.0338
Cs 0.0000 0.0000 0.5338
Cs 0.0489 0.5244 0.0000
Cs 0.2057 0.4114 0.2946
Cs 0.2057 0.7943 0.2946
Cs 0.3333 0.6667 0.6825
Cs 0.4114 0.2057 0.7946
Cs 0.4756 0.5244 0.0000
Cs 0.4756 0.9511 0.0000
Cs 0.5244 0.0489 0.5000
Cs 0.5244 0.4756 0.5000
Cs 0.5886 0.7943 0.2946
Cs 0.6667 0.3333 0.1825
Cs 0.7943 0.2057 0.7946
Cs 0.7943 0.5886 0.7946
Cs 0.9511 0.4756 0.5000
Rb 0.1564 0.3129 0.7811
Rb 0.1564 0.8436 0.7811
Rb 0.3129 0.1564 0.2811
Rb 0.6871 0.8436 0.7811
Rb 0.8436 0.1564 0.2811
Rb 0.8436 0.6871 0.2811
Hg 0.3333 0.6667 0.0788
Hg 0.6667 0.3333 0.5788

[5]
This entry pairs a crystal structure of KNa2PrI6 with its computed powder X-ray diffraction pattern. Radiation: λ = 1.5418 Å (Cu Kα). Structure: DFT lattice parameters and positions (PBE).
Intensities are scaled so that the largest is 100.

Principal peaks in the range 2θ from 5° to 70°, low angle first:
- 6.817 Å, 2θ 13.0, intensity 16
- 6.045 Å, 2θ 14.7, intensity 14
- 3.774 Å, 2θ 23.6, intensity 14
- 3.621 Å, 2θ 24.6, intensity 100
- 2.785 Å, 2θ 32.1, intensity 42
- 2.383 Å, 2θ 37.8, intensity 31
- 2.148 Å, 2θ 42.1, intensity 25
- 1.991 Å, 2θ 45.6, intensity 14

Atomic structure:
a b c (Å): 8.9270 8.9270 8.9270
angles (deg): 55.08 55.08 55.08
Fractional coordinates of all 10 atoms:
K 0.0000 0.0000 0.0000
Na 0.2966 0.2966 0.2966
Na 0.8071 0.8071 0.8071
Pr 0.4865 0.4865 0.4865
I 0.0825 0.6700 0.4382
I 0.2248 0.5692 0.8812
I 0.4382 0.0825 0.6700
I 0.5692 0.8812 0.2248
I 0.6700 0.4382 0.0825
I 0.8812 0.2248 0.5692

[6]
This entry pairs a crystal structure of Sm5Y3Bi8 with its computed powder X-ray diffraction pattern. Radiation: λ = 1.5418 Å (Cu Kα). Structure: DFT lattice parameters and positions (PBE).
Intensities are scaled so that the largest is 100.

Principal peaks in the range 2θ from 5° to 70°, low angle first:
- 3.700 Å, 2θ 24.1, intensity 10
- 3.204 Å, 2θ 27.8, intensity 100
- 2.266 Å, 2θ 39.8, intensity 78
- 1.932 Å, 2θ 47.0, intensity 6
- 1.850 Å, 2θ 49.3, intensity 28
- 1.602 Å, 2θ 57.5, intensity 13
- 1.470 Å, 2θ 63.2, intensity 3
- 1.433 Å, 2θ 65.1, intensity 37

Atomic structure:
a b c (Å): 9.0614 9.0614 9.0614
angles (deg): 60.02 60.02 60.02
Fractional coordinates of all 16 atoms:
Sm 0.0000 0.0000 0.0000
Sm 0.0000 0.5000 0.5000
Sm 0.5000 0.0000 0.5000
Sm 0.5000 0.5000 0.0000
Sm 0.5000 0.5000 0.5000
Y 0.0000 0.0000 0.5000
Y 0.0000 0.5000 0.0000
Y 0.5000 0.0000 0.0000
Bi 0.2467 0.7500 0.7500
Bi 0.2484 0.2484 0.2484
Bi 0.2500 0.2500 0.7533
Bi 0.2500 0.7533 0.2500
Bi 0.7500 0.2467 0.7500
Bi 0.7500 0.7500 0.2467
Bi 0.7516 0.7516 0.7516
Bi 0.7533 0.2500 0.2500

[7]
This entry pairs a crystal structure of La4Fe with its computed powder X-ray diffraction pattern. Radiation: λ = 1.5418 Å (Cu Kα). Structure: DFT lattice parameters and positions (PBE).
Intensities are scaled so that the largest is 100.

Principal peaks in the range 2θ from 5° to 70°, low angle first:
- 3.377 Å, 2θ 26.4, intensity 15
- 3.234 Å, 2θ 27.6, intensity 20
- 2.994 Å, 2θ 29.8, intensity 100
- 2.336 Å, 2θ 38.5, intensity 23
- 1.950 Å, 2θ 46.6, intensity 23
- 1.817 Å, 2θ 50.2, intensity 21
- 1.670 Å, 2θ 55.0, intensity 19
- 1.634 Å, 2θ 56.3, intensity 16

Atomic structure:
a b c (Å): 7.8032 7.5520 9.3562
angles (deg): 53.69 51.25 75.06
Fractional coordinates of all 10 atoms:
La 0.0281 0.9719 0.8086
La 0.0586 0.4414 0.2781
La 0.4414 0.0586 0.2219
La 0.4745 0.5530 0.6852
La 0.5530 0.4745 0.2874
La 0.5648 0.9626 0.7755
La 0.9626 0.5648 0.6970
La 0.9719 0.0281 0.1914
Fe 0.7121 0.7121 0.2879
Fe 0.9621 0.9621 0.5379

[8]
This entry pairs a crystal structure of MgGa3Mo with its computed powder X-ray diffraction pattern. Radiation: λ = 1.5418 Å (Cu Kα). Structure: DFT lattice parameters and positions (PBE).
Intensities are scaled so that the largest is 100.

Principal peaks in the range 2θ from 5° to 70°, low angle first:
- 5.213 Å, 2θ 17.0, intensity 52
- 2.945 Å, 2θ 30.3, intensity 75
- 2.329 Å, 2θ 38.7, intensity 70
- 2.316 Å, 2θ 38.9, intensity 100
- 2.192 Å, 2θ 41.2, intensity 27
- 2.175 Å, 2θ 41.5, intensity 37
- 2.020 Å, 2θ 44.9, intensity 28
- 1.829 Å, 2θ 49.9, intensity 41

Atomic structure:
a b c (Å): 7.3186 7.3186 6.5927
angles (deg): 90.00 90.00 89.15
Fractional coordinates of all 20 atoms:
Mg 0.0903 0.4097 0.2500
Mg 0.4097 0.0903 0.7500
Mg 0.5903 0.9097 0.2500
Mg 0.9097 0.5903 0.7500
Ga 0.0386 0.2570 0.6115
Ga 0.0501 0.9499 0.8221
Ga 0.2430 0.4614 0.8885
Ga 0.2570 0.0386 0.3885
Ga 0.4499 0.5501 0.3221
Ga 0.4614 0.2430 0.1115
Ga 0.5386 0.7570 0.8885
Ga 0.5501 0.4499 0.6779
Ga 0.7430 0.9614 0.6115
Ga 0.7570 0.5386 0.1115
Ga 0.9499 0.0501 0.1779
Ga 0.9614 0.7430 0.3885
Mo 0.2194 0.7806 0.1141
Mo 0.2806 0.7194 0.6141
Mo 0.7194 0.2806 0.3859
Mo 0.7806 0.2194 0.8859

[9]
This entry pairs a crystal structure of La4TmSe6 with its computed powder X-ray diffraction pattern. Radiation: λ = 1.5418 Å (Cu Kα). Structure: DFT lattice parameters and positions (PBE).
Intensities are scaled so that the largest is 100.

Principal peaks in the range 2θ from 5° to 70°, low angle first:
- 3.458 Å, 2θ 25.8, intensity 78
- 2.961 Å, 2θ 30.2, intensity 62
- 2.822 Å, 2θ 31.7, intensity 82
- 2.654 Å, 2θ 33.8, intensity 97
- 2.542 Å, 2θ 35.3, intensity 100
- 2.263 Å, 2θ 39.8, intensity 39
- 1.986 Å, 2θ 45.7, intensity 51
- 1.371 Å, 2θ 68.4, intensity 37

Atomic structure:
a b c (Å): 8.4232 8.4232 8.4232
angles (deg): 90.64 90.64 90.64
Fractional coordinates of all 22 atoms:
La 0.1317 0.7500 0.3683
La 0.2500 0.2500 0.2500
La 0.2500 0.6317 0.8683
La 0.3683 0.1317 0.7500
La 0.6317 0.8683 0.2500
La 0.7500 0.3683 0.1317
La 0.7500 0.7500 0.7500
La 0.8683 0.2500 0.6317
Tm 0.0000 0.0000 0.0000
Tm 0.5000 0.5000 0.5000
Se 0.0607 0.9185 0.6866
Se 0.0815 0.3134 0.9393
Se 0.1866 0.4185 0.5607
Se 0.3134 0.9393 0.0815
Se 0.4185 0.5607 0.1866
Se 0.4393 0.8134 0.5815
Se 0.5607 0.1866 0.4185
Se 0.5815 0.4393 0.8134
Se 0.6866 0.0607 0.9185
Se 0.8134 0.5815 0.4393
Se 0.9185 0.6866 0.0607
Se 0.9393 0.0815 0.3134

[10]
This entry pairs a crystal structure of CrCd with its computed powder X-ray diffraction pattern. Radiation: λ = 1.5418 Å (Cu Kα). Structure: DFT lattice parameters and positions (PBE).
Intensities are scaled so that the largest is 100.

Principal peaks in the range 2θ from 5° to 70°, low angle first:
- 3.679 Å, 2θ 24.2, intensity 8
- 3.404 Å, 2θ 26.2, intensity 9
- 2.383 Å, 2θ 37.8, intensity 100
- 2.245 Å, 2θ 40.2, intensity 22
- 2.106 Å, 2θ 42.9, intensity 19
- 1.888 Å, 2θ 48.2, intensity 10
- 1.536 Å, 2θ 60.3, intensity 12
- 1.406 Å, 2θ 66.5, intensity 8

Atomic structure:
a b c (Å): 8.9803 4.2121 7.5520
angles (deg): 90.00 90.00 90.00
Fractional coordinates of all 16 atoms:
Cr 0.1095 0.2500 0.1985
Cr 0.1180 0.7500 0.0103
Cr 0.3820 0.2500 0.5103
Cr 0.3905 0.7500 0.6985
Cr 0.6095 0.2500 0.3015
Cr 0.6180 0.7500 0.4897
Cr 0.8820 0.2500 0.9897
Cr 0.8905 0.7500 0.8015
Cd 0.1251 0.7500 0.4899
Cd 0.1294 0.2500 0.7556
Cd 0.3706 0.7500 0.2556
Cd 0.3749 0.2500 0.9899
Cd 0.6251 0.7500 0.0101
Cd 0.6294 0.2500 0.7444
Cd 0.8706 0.7500 0.2444
Cd 0.8749 0.2500 0.5101

[11]
This entry pairs a crystal structure of K3LiBr4 with its computed powder X-ray diffraction pattern. Radiation: λ = 1.5418 Å (Cu Kα). Structure: DFT lattice parameters and positions (PBE).
Intensities are scaled so that the largest is 100.

Principal peaks in the range 2θ from 5° to 70°, low angle first:
- 3.925 Å, 2θ 22.7, intensity 32
- 3.348 Å, 2θ 26.6, intensity 62
- 3.275 Å, 2θ 27.2, intensity 57
- 3.200 Å, 2θ 27.9, intensity 31
- 2.938 Å, 2θ 30.4, intensity 100
- 2.919 Å, 2θ 30.6, intensity 56
- 2.882 Å, 2θ 31.0, intensity 36
- 2.828 Å, 2θ 31.6, intensity 65

Atomic structure:
a b c (Å): 9.1424 11.5295 10.2479
angles (deg): 90.00 90.00 90.00
Fractional coordinates of all 32 atoms:
K 0.0429 0.0379 0.2194
K 0.0429 0.4621 0.2194
K 0.1084 0.7500 0.4395
K 0.3916 0.2500 0.9395
K 0.4571 0.5379 0.7194
K 0.4571 0.9621 0.7194
K 0.5429 0.0379 0.2806
K 0.5429 0.4621 0.2806
K 0.6084 0.7500 0.0605
K 0.8916 0.2500 0.5605
K 0.9571 0.5379 0.7806
K 0.9571 0.9621 0.7806
Li 0.1936 0.7500 0.9934
Li 0.3064 0.2500 0.4934
Li 0.6936 0.7500 0.5066
Li 0.8064 0.2500 0.0066
Br 0.0342 0.2500 0.8665
Br 0.1872 0.7500 0.7437
Br 0.1907 0.0536 0.5283
Br 0.1907 0.4464 0.5283
Br 0.3093 0.5536 0.0283
Br 0.3093 0.9464 0.0283
Br 0.3128 0.2500 0.2437
Br 0.4658 0.7500 0.3665
Br 0.5342 0.2500 0.6335
Br 0.6872 0.7500 0.7563
Br 0.6907 0.0536 0.9717
Br 0.6907 0.4464 0.9717
Br 0.8093 0.5536 0.4717
Br 0.8093 0.9464 0.4717
Br 0.8128 0.2500 0.2563
Br 0.9658 0.7500 0.1335